Structure and theoretical powder XRD pattern of LiNiPbO4 (a crystal structure in Alexandria, relaxed with PBE+U; Cu Kα (weighted mean of Kα1 and Kα2)).
Lines closer than 0.1° are merged.

Crystal structure
```
LiNiPbO4
1.0
-3.0455 3.3148 4.2690
3.0455 -3.3148 4.2690
3.0455 3.3148 -4.2690
Li Ni Pb O
2 2 2 8
Direct
0.3687 0.1187 0.2500
0.6313 0.8813 0.7500
0.0000 0.0000 0.5000
0.0000 0.5000 0.0000
0.0000 0.5000 0.5000
0.5000 0.5000 0.0000
0.2125 0.2494 0.9631
0.2137 0.7506 0.4631
0.2284 0.2347 0.5063
0.2284 0.7221 0.9937
0.7716 0.2779 0.0063
0.7716 0.7653 0.4937
0.7863 0.2494 0.5369
0.7875 0.7506 0.0369
```

Main lines, in order of falling intensity (10 to 90 degrees two-theta):
2θ 17.89, I = 100
2θ 32.49, I = 51
2θ 40.21, I = 35
2θ 34.25, I = 24
2θ 59.82, I = 24
2θ 34.79, I = 22
2θ 44.52, I = 20
2θ 36.23, I = 19
2θ 16.93, I = 17
2θ 20.81, I = 16
2θ 42.34, I = 15
2θ 54.04, I = 13